# CoSbS
Simulated powder XRD pattern, Cu Kα, 1.54184 Å. Input: the GGA-PBE geometry in Alexandria.

Main lines, in order of rising 2θ (2θ from 15° to 90°):
22.61°, d 3.933, I = 31
30.05°, d 2.974, I = 34
34.08°, d 2.631, I = 60
34.27°, d 2.616, I = 60
34.68°, d 2.587, I = 34
37.53°, d 2.397, I = 100
49.13°, d 1.854, I = 38
51.62°, d 1.771, I = 43

Atomic structure:
```
CoSbS
1.0
5.867 0.000 0.000
0.000 5.947 0.000
0.000 0.000 11.692
Co Sb S
8 8 8
Cartesian
0.104 1.064 1.654
0.104 1.909 7.500
2.830 4.038 1.654
2.830 4.883 7.500
3.038 1.064 4.191
3.038 1.909 10.037
5.763 4.038 4.191
5.763 4.883 10.037
0.771 1.146 10.880
0.771 1.828 5.034
2.163 4.119 10.880
2.163 4.802 5.034
3.705 1.146 6.657
3.705 1.828 0.811
5.096 4.119 6.657
5.096 4.802 0.811
0.741 3.282 2.179
0.741 5.638 8.025
2.193 0.309 2.179
2.193 2.665 8.025
3.675 3.282 3.667
3.675 5.638 9.513
5.126 0.309 3.667
5.126 2.665 9.513
```

# NdPaN2F
Simulated powder XRD pattern, Cu Kα, 1.54184 Å. Input: the GGA-PBE geometry in Alexandria.

Main lines, in order of rising 2θ (2θ from 15° to 90°):
29.53°, d 3.025, I = 100
30.62°, d 2.919, I = 20
35.91°, d 2.501, I = 37
47.90°, d 1.899, I = 30
51.69°, d 1.768, I = 16
53.74°, d 1.706, I = 21
60.66°, d 1.527, I = 28
61.29°, d 1.512, I = 12

Atomic structure:
```
NdPaN2F
1.0
3.537 0.000 0.000
0.000 3.537 0.000
0.000 0.000 11.678
Nd Pa N F
2 2 4 2
Cartesian
0.884 0.884 1.716
2.652 2.652 9.961
0.884 0.884 7.127
2.652 2.652 4.550
0.884 0.884 4.533
0.884 0.884 9.208
2.652 2.652 2.470
2.652 2.652 7.144
0.884 2.652 0.000
2.652 0.884 0.000
```

# ErTl2GaCl6
Simulated powder XRD pattern, Cu Kα, 1.54184 Å. Input: the GGA-PBE geometry in Alexandria.

Main lines, in order of rising 2θ (2θ from 15° to 90°):
16.20°, d 5.472, I = 27
22.85°, d 3.892, I = 100
23.11°, d 3.848, I = 100
32.73°, d 2.736, I = 65
36.55°, d 2.458, I = 42
40.45°, d 2.230, I = 53
40.61°, d 2.222, I = 39
47.24°, d 1.924, I = 21

Atomic structure:
```
ErTl2GaCl6
1.0
3.848 2.222 6.391
-3.848 2.222 6.391
0.000 -4.443 6.391
Er Tl Ga Cl
1 2 1 6
Cartesian
0.000 0.000 0.000
0.000 0.000 5.557
0.000 0.000 14.999
0.000 0.000 9.731
-0.666 -2.341 7.797
-2.500 -0.621 11.156
-1.694 1.747 7.797
1.788 -1.855 11.156
2.360 0.594 7.797
0.713 2.476 11.156
```